SmTm2C3: theoretical powder diffractogram (Cu Kα), based on a crystal structure in Alexandria, relaxed with GGA-PBE.
Peak positions follow from Bragg's law for the DFT cell and can differ from measured ones.

Most intense lines, 5 to 70 degrees two-theta, in order of rising 2θ:
2θ = 14.7°, intensity 51; 2θ = 26.4°, intensity 100; 2θ = 28.5°, intensity 86; 2θ = 30.3°, intensity 64; 2θ = 32.0°, intensity 71; 2θ = 39.2°, intensity 32; 2θ = 40.1°, intensity 71; 2θ = 40.3°, intensity 33; 2θ = 43.4°, intensity 63; 2θ = 59.2°, intensity 41

```
12
Lattice="-2.7969 5.1797 3.6870 2.7969 -5.1797 3.6870 2.7969 5.1797 -3.6870" Properties=species:S:1:pos:R:3 pbc="T T T"
Sm 0.0000 2.5898 0.3086
Sm 2.7969 2.5898 3.3784
Tm 2.7969 -0.8059 1.2431
Tm 2.7969 4.3737 -1.2431
Tm 0.0000 0.8059 4.9301
Tm 0.0000 5.9856 2.4439
C 1.3985 2.5898 -1.8435
C 0.6891 0.0000 0.0000
C 1.3985 -2.5898 1.8435
C 4.9047 0.0000 0.0000
C 0.6891 5.1797 0.0000
C 2.1078 0.0000 3.6870
```